No. 1
For Ti5Pd4N, a cell relaxed with PBE gives the calculated powder XRD pattern in this record (Cu Kα X-rays).

Peak list (10 most intense, 2θ = 15–90°, in order of rising 2θ)
| d (Å) | I/Imax |
| --- | --- |
| 5.869 | 17 |
| 2.815 | 16 |
| 2.625 | 16 |
| 2.329 | 100 |
| 2.158 | 25 |
| 2.031 | 11 |
| 1.956 | 27 |
| 1.450 | 19 |
| 1.277 | 14 |
| 1.189 | 12 |

Structure:
Cell lengths 6.2536, 6.2536, 6.2536 Å; angles 96.84, 96.84, 139.62 degrees
Fractional positions:
Ti 0.0000 0.0000 0.0000
Ti 0.2995 0.3571 0.6566
Ti 0.3571 0.7005 0.0576
Ti 0.6429 0.2995 0.9424
Ti 0.7005 0.6429 0.3434
Pd 0.0254 0.6674 0.6928
Pd 0.3326 0.0254 0.3579
Pd 0.6674 0.9746 0.6421
Pd 0.9746 0.3326 0.3072
N 0.5000 0.5000 0.0000

No. 2
For Mg3Pa3BeN8, a cell relaxed with PBE gives the calculated powder XRD pattern in this record (Cu Kα X-rays).

Peak list (10 most intense, 2θ = 15–90°, in order of rising 2θ)
| d (Å) | I/Imax |
| --- | --- |
| 5.464 | 31 |
| 5.101 | 100 |
| 4.751 | 27 |
| 2.923 | 50 |
| 2.780 | 20 |
| 2.732 | 79 |
| 2.551 | 21 |
| 2.376 | 58 |
| 2.229 | 25 |
| 1.669 | 19 |

Structure:
Cell lengths 6.3722, 6.3722, 6.5510 Å; angles 117.67, 117.67, 65.78 degrees
Fractional positions:
Mg 0.0000 0.0000 0.0000
Mg 0.0000 0.5000 0.5000
Mg 0.5000 0.0000 0.5000
Pa 0.0000 0.5000 0.0000
Pa 0.5000 0.0000 0.0000
Pa 0.5000 0.5000 0.5000
Be 0.0000 0.0000 0.5000
N 0.1975 0.1975 0.7121
N 0.2441 0.2441 0.2411
N 0.2595 0.7312 0.2514
N 0.2688 0.7405 0.7486
N 0.7312 0.2595 0.2514
N 0.7405 0.2688 0.7486
N 0.7559 0.7559 0.7589
N 0.8025 0.8025 0.2879

No. 3
For Pr12Er5Tm, a cell relaxed with PBE gives the calculated powder XRD pattern in this record (Cu Kα X-rays).

Peak list (10 most intense, 2θ = 15–90°, in order of rising 2θ)
| d (Å) | I/Imax |
| --- | --- |
| 2.979 | 100 |
| 2.587 | 34 |
| 2.565 | 17 |
| 1.829 | 12 |
| 1.821 | 24 |
| 1.559 | 29 |
| 1.549 | 14 |
| 1.489 | 12 |
| 1.186 | 6 |
| 1.182 | 9 |

Structure:
Cell lengths 10.9201, 5.1746, 10.9365 Å; angles 90.00, 90.49, 90.00 degrees
Fractional positions:
Pr 0.0025 0.0000 0.1689
Pr 0.1643 0.5000 0.6645
Pr 0.1694 0.5000 0.0023
Pr 0.3309 0.0000 0.4977
Pr 0.3361 0.0000 0.8358
Pr 0.4975 0.5000 0.3309
Pr 0.5025 0.5000 0.6691
Pr 0.6639 0.0000 0.1642
Pr 0.6691 0.0000 0.5023
Pr 0.8306 0.5000 0.9977
Pr 0.8357 0.5000 0.3355
Pr 0.9975 0.0000 0.8311
Er 0.0000 0.0000 0.5000
Er 0.1666 0.5000 0.3334
Er 0.3334 0.0000 0.1665
Er 0.6666 0.0000 0.8335
Er 0.8334 0.5000 0.6666
Tm 0.5000 0.5000 0.0000

No. 4
For Ca3Cu7Ni2, a cell relaxed with PBE gives the calculated powder XRD pattern in this record (Cu Kα X-rays).

Peak list (10 most intense, 2θ = 15–90°, in order of rising 2θ)
| d (Å) | I/Imax |
| --- | --- |
| 4.378 | 37 |
| 2.567 | 28 |
| 2.214 | 26 |
| 2.189 | 100 |
| 2.096 | 33 |
| 2.033 | 54 |
| 1.890 | 28 |
| 1.397 | 28 |
| 1.283 | 20 |
| 1.094 | 19 |

Structure:
Cell lengths 8.8911, 8.8911, 8.8911 Å; angles 33.56, 33.56, 33.56 degrees
Fractional positions:
Ca 0.0000 0.0000 0.0000
Ca 0.1393 0.1393 0.1393
Ca 0.8607 0.8607 0.8607
Cu 0.0801 0.5793 0.5793
Cu 0.4207 0.4207 0.9199
Cu 0.4207 0.9199 0.4207
Cu 0.5000 0.5000 0.5000
Cu 0.5793 0.0801 0.5793
Cu 0.5793 0.5793 0.0801
Cu 0.9199 0.4207 0.4207
Ni 0.3326 0.3326 0.3326
Ni 0.6674 0.6674 0.6674

No. 5
For NiH4Cl2, a cell relaxed with PBE gives the calculated powder XRD pattern in this record (Cu Kα X-rays).

Peak list (10 most intense, 2θ = 15–90°, in order of rising 2θ)
| d (Å) | I/Imax |
| --- | --- |
| 4.393 | 74 |
| 3.487 | 31 |
| 3.464 | 22 |
| 2.841 | 100 |
| 2.482 | 26 |
| 2.449 | 91 |
| 1.840 | 27 |
| 1.743 | 29 |
| 1.732 | 27 |
| 1.471 | 25 |

Structure:
Cell lengths 4.8988, 4.8988, 9.9287 Å; angles 90.00, 90.00, 90.00 degrees
Fractional positions:
Ni 0.0000 0.0000 0.0000
Ni 0.5000 0.5000 0.3006
Ni 0.5000 0.5000 0.6994
H 0.2266 0.5000 0.2290
H 0.2266 0.5000 0.7710
H 0.5000 0.2266 0.2290
H 0.5000 0.2266 0.7710
H 0.5000 0.5000 0.1555
H 0.5000 0.5000 0.4631
H 0.5000 0.5000 0.5369
H 0.5000 0.5000 0.8445
H 0.5000 0.7734 0.2290
H 0.5000 0.7734 0.7710
H 0.7734 0.5000 0.2290
H 0.7734 0.5000 0.7710
Cl 0.0000 0.0000 0.2196
Cl 0.0000 0.0000 0.7804
Cl 0.0000 0.5000 0.0000
Cl 0.0000 0.5000 0.5000
Cl 0.5000 0.0000 0.0000
Cl 0.5000 0.0000 0.5000

No. 6
For Tb3TcI, a cell relaxed with PBE gives the calculated powder XRD pattern in this record (Cu Kα X-rays).

Peak list (10 most intense, 2θ = 15–90°, in order of rising 2θ)
| d (Å) | I/Imax |
| --- | --- |
| 3.278 | 48 |
| 3.040 | 40 |
| 2.923 | 53 |
| 2.796 | 100 |
| 2.729 | 42 |
| 2.559 | 55 |
| 2.550 | 63 |
| 2.324 | 43 |
| 2.313 | 37 |
| 1.893 | 38 |

Structure:
Cell lengths 7.6553, 7.6553, 10.3769 Å; angles 99.18, 99.18, 28.63 degrees
Fractional positions:
Tb 0.0302 0.0302 0.3585
Tb 0.2524 0.2524 0.6384
Tb 0.3577 0.3577 0.1527
Tb 0.6423 0.6423 0.8473
Tb 0.7476 0.7476 0.3616
Tb 0.9698 0.9698 0.6415
Tc 0.3928 0.3928 0.4305
Tc 0.6072 0.6072 0.5695
I 0.1361 0.1361 0.1037
I 0.8639 0.8639 0.8963

No. 7
For CeTi4S8, a cell relaxed with PBE gives the calculated powder XRD pattern in this record (Cu Kα X-rays).

Peak list (10 most intense, 2θ = 15–90°, in order of rising 2θ)
| d (Å) | I/Imax |
| --- | --- |
| 5.719 | 39 |
| 5.104 | 34 |
| 3.790 | 16 |
| 3.277 | 14 |
| 3.052 | 17 |
| 2.552 | 100 |
| 1.895 | 35 |
| 1.726 | 29 |
| 1.430 | 14 |
| 1.186 | 13 |

Structure:
Cell lengths 7.6528, 7.6528, 7.6528 Å; angles 53.63, 53.63, 53.63 degrees
Fractional positions:
Ce 0.0000 0.0000 0.0000
Ti 0.0000 0.0000 0.5000
Ti 0.0000 0.5000 0.0000
Ti 0.5000 0.0000 0.0000
Ti 0.5000 0.5000 0.5000
S 0.2378 0.2378 0.2378
S 0.2489 0.7369 0.7369
S 0.2631 0.2631 0.7511
S 0.2631 0.7511 0.2631
S 0.7369 0.2489 0.7369
S 0.7369 0.7369 0.2489
S 0.7511 0.2631 0.2631
S 0.7622 0.7622 0.7622

No. 8
For Ce4Ge9Rh13, a cell relaxed with PBE gives the calculated powder XRD pattern in this record (Cu Kα X-rays).

Peak list (10 most intense, 2θ = 15–90°, in order of rising 2θ)
| d (Å) | I/Imax |
| --- | --- |
| 2.713 | 19 |
| 2.527 | 100 |
| 2.255 | 22 |
| 2.247 | 12 |
| 1.985 | 28 |
| 1.961 | 18 |
| 1.892 | 25 |
| 1.762 | 14 |
| 1.490 | 12 |
| 1.370 | 18 |

Structure:
Cell lengths 3.9706, 11.3592, 19.6446 Å; angles 90.00, 90.00, 90.00 degrees
Fractional positions:
Ce 0.2500 0.0605 0.2077
Ce 0.2500 0.2500 0.0210
Ce 0.2500 0.4395 0.2077
Ce 0.2500 0.7500 0.5201
Ce 0.7500 0.2500 0.4799
Ce 0.7500 0.5605 0.7923
Ce 0.7500 0.7500 0.9790
Ce 0.7500 0.9395 0.7923
Ge 0.2500 0.0670 0.4153
Ge 0.2500 0.1235 0.7298
Ge 0.2500 0.2500 0.6028
Ge 0.2500 0.3765 0.7298
Ge 0.2500 0.4330 0.4153
Ge 0.2500 0.5615 0.9192
Ge 0.2500 0.7500 0.1017
Ge 0.2500 0.7500 0.7310
Ge 0.2500 0.9385 0.9192
Ge 0.7500 0.0615 0.0808
Ge 0.7500 0.2500 0.2690
Ge 0.7500 0.2500 0.8982
Ge 0.7500 0.4385 0.0808
Ge 0.7500 0.5670 0.5847
Ge 0.7500 0.6235 0.2702
Ge 0.7500 0.7500 0.3972
Ge 0.7500 0.8765 0.2702
Ge 0.7500 0.9330 0.5847
Rh 0.2500 0.0586 0.5408
Rh 0.2500 0.1267 0.8568
Rh 0.2500 0.2500 0.3440
Rh 0.2500 0.3733 0.8568
Rh 0.2500 0.4414 0.5408
Rh 0.2500 0.5506 0.0462
Rh 0.2500 0.5648 0.6649
Rh 0.2500 0.6234 0.3546
Rh 0.2500 0.7500 0.2274
Rh 0.2500 0.7500 0.8570
Rh 0.2500 0.8766 0.3546
Rh 0.2500 0.9352 0.6649
Rh 0.2500 0.9494 0.0462
Rh 0.7500 0.0506 0.9538
Rh 0.7500 0.0648 0.3351
Rh 0.7500 0.1234 0.6454
Rh 0.7500 0.2500 0.1430
Rh 0.7500 0.2500 0.7726
Rh 0.7500 0.3766 0.6454
Rh 0.7500 0.4352 0.3351
Rh 0.7500 0.4494 0.9538
Rh 0.7500 0.5586 0.4592
Rh 0.7500 0.6267 0.1432
Rh 0.7500 0.7500 0.6560
Rh 0.7500 0.8733 0.1432
Rh 0.7500 0.9414 0.4592

No. 9
For Pm8SiGe3, a cell relaxed with PBE gives the calculated powder XRD pattern in this record (Cu Kα X-rays).

Peak list (10 most intense, 2θ = 15–90°, in order of rising 2θ)
| d (Å) | I/Imax |
| --- | --- |
| 4.097 | 8 |
| 3.548 | 52 |
| 2.509 | 100 |
| 2.049 | 15 |
| 1.774 | 18 |
| 1.587 | 21 |
| 1.449 | 36 |
| 1.255 | 11 |
| 1.183 | 10 |
| 1.122 | 16 |

Structure:
Cell lengths 8.6923, 8.6923, 8.6923 Å; angles 131.82, 131.82, 70.52 degrees
Fractional positions:
Pm 0.1245 0.1245 0.4974
Pm 0.1245 0.6272 0.0000
Pm 0.3728 0.3728 0.4974
Pm 0.3728 0.8755 0.0000
Pm 0.6272 0.1245 0.0000
Pm 0.6272 0.6272 0.5026
Pm 0.8755 0.3728 0.0000
Pm 0.8755 0.8755 0.5026
Si 0.0000 0.0000 0.0000
Ge 0.2500 0.7500 0.5000
Ge 0.5000 0.5000 0.0000
Ge 0.7500 0.2500 0.5000

No. 10
For TbNdY2, a cell relaxed with PBE gives the calculated powder XRD pattern in this record (Cu Kα X-rays).

Peak list (10 most intense, 2θ = 15–90°, in order of rising 2θ)
| d (Å) | I/Imax |
| --- | --- |
| 2.938 | 100 |
| 2.930 | 33 |
| 2.548 | 22 |
| 2.540 | 45 |
| 1.801 | 16 |
| 1.796 | 31 |
| 1.537 | 9 |
| 1.533 | 33 |
| 1.530 | 14 |
| 1.470 | 8 |

Structure:
Cell lengths 6.2236, 6.2289, 7.1878 Å; angles 73.26, 89.90, 80.64 degrees
Fractional positions:
Tb 0.1247 0.2505 0.1867
Tb 0.8753 0.7495 0.8133
Nd 0.1237 0.2500 0.6880
Nd 0.8763 0.7500 0.3120
Y 0.3746 0.7498 0.0623
Y 0.3757 0.7502 0.5628
Y 0.6243 0.2498 0.4372
Y 0.6254 0.2502 0.9377

No. 11
For K12Na, a cell relaxed with PBE gives the calculated powder XRD pattern in this record (Cu Kα X-rays).

Peak list (10 most intense, 2θ = 15–90°, in order of rising 2θ)
| d (Å) | I/Imax |
| --- | --- |
| 4.314 | 17 |
| 3.859 | 100 |
| 3.522 | 26 |
| 3.261 | 71 |
| 2.093 | 41 |
| 2.034 | 14 |
| 1.979 | 28 |
| 1.799 | 14 |
| 1.458 | 13 |
| 1.438 | 12 |

Structure:
Cell lengths 10.5671, 10.5671, 10.5671 Å; angles 109.47, 109.47, 109.47 degrees
Fractional positions:
K 0.1349 0.3121 0.8228
K 0.1772 0.4893 0.3121
K 0.1772 0.8651 0.6879
K 0.3121 0.1772 0.4893
K 0.3121 0.8228 0.1349
K 0.4893 0.3121 0.1772
K 0.5107 0.6879 0.8228
K 0.6879 0.1772 0.8651
K 0.6879 0.8228 0.5107
K 0.8228 0.1349 0.3121
K 0.8228 0.5107 0.6879
K 0.8651 0.6879 0.1772
Na 0.0000 0.0000 0.0000

No. 12
For Zr5N4, a cell relaxed with PBE gives the calculated powder XRD pattern in this record (Cu Kα X-rays).

Peak list (10 most intense, 2θ = 15–90°, in order of rising 2θ)
| d (Å) | I/Imax |
| --- | --- |
| 2.832 | 49 |
| 2.530 | 100 |
| 2.002 | 25 |
| 1.976 | 10 |
| 1.808 | 8 |
| 1.631 | 8 |
| 1.570 | 30 |
| 1.536 | 6 |
| 1.414 | 12 |
| 1.265 | 10 |

Structure:
Cell lengths 6.5390, 6.5390, 6.5390 Å; angles 93.57, 93.57, 151.11 degrees
Fractional positions:
Zr 0.0000 0.0000 0.0000
Zr 0.2290 0.5802 0.8092
Zr 0.4198 0.2290 0.6488
Zr 0.5802 0.7710 0.3512
Zr 0.7710 0.4198 0.1908
N 0.1101 0.7853 0.8954
N 0.2147 0.1101 0.3248
N 0.7853 0.8899 0.6752
N 0.8899 0.2147 0.1046

What did the fifth record say?
For NiH4Cl2, a cell relaxed with PBE gives the calculated powder XRD pattern in this record (Cu Kα X-rays).

Peak list (10 most intense, 2θ = 15–90°, in order of rising 2θ)
| d (Å) | I/Imax |
| --- | --- |
| 4.393 | 74 |
| 3.487 | 31 |
| 3.464 | 22 |
| 2.841 | 100 |
| 2.482 | 26 |
| 2.449 | 91 |
| 1.840 | 27 |
| 1.743 | 29 |
| 1.732 | 27 |
| 1.471 | 25 |

Structure:
Cell lengths 4.8988, 4.8988, 9.9287 Å; angles 90.00, 90.00, 90.00 degrees
Fractional positions:
Ni 0.0000 0.0000 0.0000
Ni 0.5000 0.5000 0.3006
Ni 0.5000 0.5000 0.6994
H 0.2266 0.5000 0.2290
H 0.2266 0.5000 0.7710
H 0.5000 0.2266 0.2290
H 0.5000 0.2266 0.7710
H 0.5000 0.5000 0.1555
H 0.5000 0.5000 0.4631
H 0.5000 0.5000 0.5369
H 0.5000 0.5000 0.8445
H 0.5000 0.7734 0.2290
H 0.5000 0.7734 0.7710
H 0.7734 0.5000 0.2290
H 0.7734 0.5000 0.7710
Cl 0.0000 0.0000 0.2196
Cl 0.0000 0.0000 0.7804
Cl 0.0000 0.5000 0.0000
Cl 0.0000 0.5000 0.5000
Cl 0.5000 0.0000 0.0000
Cl 0.5000 0.0000 0.5000